(1)
Diffraction record for MgAlNi. The X-ray diffraction stick pattern is calculated, not measured: it uses a GGA-PBE-relaxed structure and Cu Kα X-rays.

Principal peaks in the range 2θ from 10° to 80°, low angle first:
d_spacing	2theta	I (rel.)
4.107	21.6	76
2.586	34.7	19
2.183	41.4	100
2.065	43.8	44
2.053	44.1	36
2.048	44.2	43
1.401	66.8	17
1.240	76.9	22

Structure:
abc: 4.9733 4.9733 4.9733
angles: 117.64 117.35 94.40
Atoms (fractional coordinates):
1 Mg 0.3614 0.1114 0.2500
2 Mg 0.6386 0.8886 0.7500
3 Al 0.0000 0.5000 0.5000
4 Al 0.5000 0.5000 0.0000
5 Ni 0.0000 0.0000 0.5000
6 Ni 0.0000 0.5000 0.0000



(2)
Diffraction record for NbZnIrO6. The X-ray diffraction stick pattern is calculated, not measured: it uses a GGA-PBE-relaxed structure and Cu Kα X-rays.

Principal peaks in the range 2θ from 10° to 80°, low angle first:
d_spacing	2theta	I (rel.)
4.224	21.0	31
3.349	26.6	100
2.601	34.5	80
2.368	38.0	22
1.751	52.2	65
1.674	54.8	17
1.498	62.0	15
1.408	66.4	19

Structure:
abc: 4.7361 4.7361 9.3354
angles: 90.00 90.00 90.00
Atoms (fractional coordinates):
1 Nb 0.0000 0.0000 0.0000
2 Nb 0.5000 0.5000 0.5000
3 Zn 0.0000 0.0000 0.3315
4 Zn 0.5000 0.5000 0.8315
5 Ir 0.0000 0.0000 0.6641
6 Ir 0.5000 0.5000 0.1641
7 O 0.1899 0.1899 0.8303
8 O 0.1991 0.1991 0.5095
9 O 0.2105 0.2105 0.1537
10 O 0.2895 0.7105 0.6537
11 O 0.3009 0.6991 0.0095
12 O 0.3101 0.6899 0.3303
13 O 0.6899 0.3101 0.3303
14 O 0.6991 0.3009 0.0095
15 O 0.7105 0.2895 0.6537
16 O 0.7895 0.7895 0.1537
17 O 0.8009 0.8009 0.5095
18 O 0.8101 0.8101 0.8303



(3)
Diffraction record for PmSO5. The X-ray diffraction stick pattern is calculated, not measured: it uses a GGA-PBE-relaxed structure and Cu Kα X-rays.

Principal peaks in the range 2θ from 10° to 80°, low angle first:
d_spacing	2theta	I (rel.)
4.706	18.9	48
4.612	19.2	42
4.183	21.2	100
3.713	24.0	34
3.385	26.3	80
3.264	27.3	55
3.210	27.8	57
2.354	38.2	45

Structure:
abc: 4.5765 4.8465 4.9096
angles: 87.93 73.71 72.38
Atoms (fractional coordinates):
1 Pm 0.0000 0.0000 0.0000
2 S 0.7991 0.5389 0.5787
3 O 0.0094 0.6557 0.3514
4 O 0.4492 0.0916 0.0654
5 O 0.4664 0.7329 0.6460
6 O 0.8224 0.2387 0.4922
7 O 0.9130 0.5141 0.8405



(4)
Diffraction record for Pm3YTl2S. The X-ray diffraction stick pattern is calculated, not measured: it uses a GGA-PBE-relaxed structure and Cu Kα X-rays.

Principal peaks in the range 2θ from 10° to 80°, low angle first:
d_spacing	2theta	I (rel.)
3.662	24.3	52
3.339	26.7	56
2.746	32.6	27
2.721	32.9	100
2.711	33.0	21
2.618	34.3	42
2.562	35.0	40
1.831	49.8	29

Structure:
abc: 8.9191 8.9191 8.9191
angles: 146.62 145.86 48.49
Atoms (fractional coordinates):
1 Pm 0.0000 0.0000 0.0000
2 Pm 0.3269 0.8269 0.5000
3 Pm 0.6731 0.1731 0.5000
4 Y 0.5000 0.5000 0.0000
5 Tl 0.1307 0.6307 0.5000
6 Tl 0.8693 0.3693 0.5000
7 S 0.5000 0.0000 0.5000



(5)
Diffraction record for Er2GaCu2Ni5. The X-ray diffraction stick pattern is calculated, not measured: it uses a GGA-PBE-relaxed structure and Cu Kα X-rays.

Principal peaks in the range 2θ from 10° to 80°, low angle first:
d_spacing	2theta	I (rel.)
2.816	31.8	26
2.684	33.4	38
2.380	37.8	28
2.226	40.5	100
2.163	41.8	56
2.044	44.3	34
1.814	50.3	28
1.390	67.4	26

Structure:
abc: 8.9181 8.9181 3.6276
angles: 90.00 90.00 90.00
Atoms (fractional coordinates):
1 Er 0.1775 0.3225 0.0000
2 Er 0.3225 0.8225 0.0000
3 Er 0.6775 0.1775 0.0000
4 Er 0.8225 0.6775 0.0000
5 Ga 0.0000 0.0000 0.0000
6 Ga 0.5000 0.5000 0.0000
7 Cu 0.1200 0.6200 0.0000
8 Cu 0.3800 0.1200 0.0000
9 Cu 0.6200 0.8800 0.0000
10 Cu 0.8800 0.3800 0.0000
11 Ni 0.0000 0.5000 0.5000
12 Ni 0.0610 0.7971 0.5000
13 Ni 0.2029 0.0610 0.5000
14 Ni 0.2971 0.5610 0.5000
15 Ni 0.4390 0.2971 0.5000
16 Ni 0.5000 0.0000 0.5000
17 Ni 0.5610 0.7029 0.5000
18 Ni 0.7029 0.4390 0.5000
19 Ni 0.7971 0.9390 0.5000
20 Ni 0.9390 0.2029 0.5000



(6)
Diffraction record for CsPu4Pt3S12. The X-ray diffraction stick pattern is calculated, not measured: it uses a GGA-PBE-relaxed structure and Cu Kα X-rays.

Principal peaks in the range 2θ from 10° to 80°, low angle first:
d_spacing	2theta	I (rel.)
3.472	25.7	100
2.455	36.6	23
2.196	41.1	3
2.005	45.2	58
1.736	52.7	15
1.553	59.5	23
1.417	65.9	6
1.312	72.0	24

Structure:
abc: 8.5044 8.5044 8.5044
angles: 109.47 109.47 109.47
Atoms (fractional coordinates):
1 Cs 0.0000 0.0000 0.0000
2 Pu 0.0000 0.0000 0.5000
3 Pu 0.0000 0.5000 0.0000
4 Pu 0.5000 0.0000 0.0000
5 Pu 0.5000 0.5000 0.5000
6 Pt 0.0000 0.5000 0.5000
7 Pt 0.5000 0.0000 0.5000
8 Pt 0.5000 0.5000 0.0000
9 S 0.1619 0.8361 0.3258
10 S 0.1639 0.3258 0.4897
11 S 0.1639 0.6742 0.8381
12 S 0.3258 0.1619 0.8361
13 S 0.3258 0.4897 0.1639
14 S 0.4897 0.1639 0.3258
15 S 0.5103 0.8361 0.6742
16 S 0.6742 0.5103 0.8361
17 S 0.6742 0.8381 0.1639
18 S 0.8361 0.3258 0.1619
19 S 0.8361 0.6742 0.5103
20 S 0.8381 0.1639 0.6742



(7)
Diffraction record for NaSbRh2Pb. The X-ray diffraction stick pattern is calculated, not measured: it uses a GGA-PBE-relaxed structure and Cu Kα X-rays.

Principal peaks in the range 2θ from 10° to 80°, low angle first:
d_spacing	2theta	I (rel.)
2.803	31.9	100
2.471	36.4	21
2.406	37.4	39
1.724	53.1	28
1.701	53.9	14
1.483	62.7	14
1.454	64.0	27
1.401	66.8	14

Structure:
abc: 4.8117 4.8117 4.9425
angles: 90.00 90.00 90.00
Atoms (fractional coordinates):
1 Na 0.0000 0.0000 0.0000
2 Sb 0.5000 0.5000 0.5000
3 Rh 0.0000 0.5000 0.0000
4 Rh 0.5000 0.0000 0.0000
5 Pb 0.0000 0.0000 0.5000